(1)
# Ni4RuCl
Calculated powder XRD pattern, Cu Kα (weighted mean of Kα1 and Kα2). Input: DFT lattice parameters and positions (GGA-PBE).
Lines closer than 0.1° are merged.

Atomic structure:
Cell lengths 4.805, 4.805, 4.805 Å; angles 60.00, 60.00, 60.00 degrees
Fractional positions:
Ni 0.124 0.124 0.124
Ni 0.124 0.124 0.627
Ni 0.124 0.627 0.124
Ni 0.627 0.124 0.124
Ru 0.750 0.750 0.750
Cl 0.500 0.500 0.500

Main lines, most intense first (10° ≤ 2θ ≤ 90°):
Position (°2θ)	Rel. int.
44.21	100.0
46.28	38.8
37.43	28.6
72.24	28.3
79.85	23.0
22.66	12.1
67.53	9.3
26.23	8.0
60.98	3.7
53.97	3.6


(2)
# NiS2Cl2
Calculated powder XRD pattern, Cu Kα (weighted mean of Kα1 and Kα2). Input: DFT lattice parameters and positions (GGA-PBE).
Lines closer than 0.1° are merged.

Atomic structure:
Cell lengths 4.458, 4.458, 7.296 Å; angles 99.54, 99.54, 106.00 degrees
Fractional positions:
Ni 0.000 0.000 0.000
S 0.364 0.321 0.893
S 0.679 0.636 0.107
Cl 0.135 0.259 0.290
Cl 0.741 0.865 0.710

Main lines, most intense first (10° ≤ 2θ ≤ 90°):
Position (°2θ)	Rel. int.
12.62	100.0
25.01	67.5
28.11	32.3
22.21	22.6
48.69	20.1
36.96	19.7
45.33	17.6
33.56	17.0
21.27	15.3
42.31	14.1


(3)
# NiSe3Cl
Calculated powder XRD pattern, Cu Kα (weighted mean of Kα1 and Kα2). Input: DFT lattice parameters and positions (GGA-PBE).
Lines closer than 0.1° are merged.

Atomic structure:
Cell lengths 7.099, 7.099, 4.897 Å; angles 90.00, 90.00, 120.00 degrees
Fractional positions:
Ni 0.000 0.000 0.000
Ni 0.000 0.000 0.500
Se 0.165 0.329 0.250
Se 0.165 0.835 0.250
Se 0.329 0.165 0.750
Se 0.671 0.835 0.250
Se 0.835 0.165 0.750
Se 0.835 0.671 0.750
Cl 0.333 0.667 0.751
Cl 0.667 0.333 0.249

Main lines, most intense first (10° ≤ 2θ ≤ 90°):
Position (°2θ)	Rel. int.
34.45	100.0
14.41	60.5
51.49	31.1
47.47	28.4
63.43	16.0
64.65	15.2
85.99	14.1
64.89	11.8
36.70	10.8
44.98	10.1


(4)
# Ni2SeCl
Calculated powder XRD pattern, Cu Kα (weighted mean of Kα1 and Kα2). Input: DFT lattice parameters and positions (GGA-PBE).
Lines closer than 0.1° are merged.

Atomic structure:
Cell lengths 3.903, 4.352, 3.917 Å; angles 90.00, 105.54, 90.00 degrees
Fractional positions:
Ni 0.000 0.000 0.000
Ni 0.232 0.500 0.767
Se 0.384 0.000 0.616
Cl 0.824 0.500 0.176

Main lines, most intense first (10° ≤ 2θ ≤ 90°):
Position (°2θ)	Rel. int.
35.45	100.0
38.04	82.9
23.62	78.3
41.50	64.1
57.55	46.1
52.47	43.8
52.60	43.5
52.89	30.0
53.06	29.6
48.28	28.8


(5)
# Ni4Se8Cl
Calculated powder XRD pattern, Cu Kα (weighted mean of Kα1 and Kα2). Input: DFT lattice parameters and positions (GGA-PBE).
Lines closer than 0.1° are merged.

Atomic structure:
Cell lengths 7.918, 7.918, 10.534 Å; angles 121.83, 121.83, 26.50 degrees
Fractional positions:
Ni 0.000 0.000 0.000
Ni 0.217 0.217 0.729
Ni 0.517 0.517 0.379
Ni 0.734 0.734 0.109
Se 0.139 0.139 0.450
Se 0.178 0.178 0.205
Se 0.271 0.271 0.994
Se 0.463 0.463 0.115
Se 0.556 0.556 0.904
Se 0.595 0.595 0.658
Se 0.832 0.832 0.769
Se 0.902 0.902 0.340
Cl 0.867 0.867 0.556

Main lines, most intense first (10° ≤ 2θ ≤ 90°):
Position (°2θ)	Rel. int.
32.22	100.0
35.03	96.5
35.84	90.1
34.25	89.9
30.17	78.2
44.38	72.3
50.28	66.1
52.04	65.2
31.49	60.5
17.07	60.3


(6)
# SiNiCl4
Calculated powder XRD pattern, Cu Kα (weighted mean of Kα1 and Kα2). Input: DFT lattice parameters and positions (GGA-PBE).
Lines closer than 0.1° are merged.

Atomic structure:
Cell lengths 5.768, 5.768, 5.768 Å; angles 60.00, 60.00, 60.00 degrees
Fractional positions:
Si 0.000 0.000 0.000
Ni 0.250 0.250 0.250
Cl 0.127 0.624 0.624
Cl 0.624 0.127 0.624
Cl 0.624 0.624 0.127
Cl 0.624 0.624 0.624

Main lines, most intense first (10° ≤ 2θ ≤ 90°):
Position (°2θ)	Rel. int.
36.53	100.0
31.01	35.9
38.22	31.6
58.82	29.0
64.63	22.6
55.16	12.9
76.59	9.6
77.64	9.6
18.84	6.9
21.79	5.8